Entry 1:
# BaAg2SnF8
Calculated powder diffraction line list, a wavelength of 1.5418 Å. Input: a crystal structure in Alexandria, relaxed with PBE.

Top 10 peaks for 2θ = 10–90°, by intensity:
2θ (°)	I (rel.)
27.48	100
23.73	71
26.10	71
42.45	52
29.86	50
45.33	34
53.59	32
47.29	25
39.31	23
52.35	18

Cell and atoms:
abc: 4.605 7.902 5.717
angles: 90.00 95.48 90.00
Space group P2/m (No. 10)
One atom of each set of equivalent atoms:
1 Ba 0.000 0.000 0.000 (multiplicity 1)
2 Ag 0.500 0.247 0.500 (multiplicity 2)
3 Sn 0.000 0.500 0.000 (multiplicity 1)
4 F 0.125 0.308 0.799 (multiplicity 4)
5 F 0.365 0.500 0.221 (multiplicity 2)
6 F 0.490 0.000 0.748 (multiplicity 2)

***

Entry 2:
# PrHoOs
Calculated powder diffraction line list, a wavelength of 1.5418 Å. Input: a crystal structure in Alexandria, relaxed with PBE.

Top 10 peaks for 2θ = 10–90°, by intensity:
2θ (°)	I (rel.)
36.97	100
66.62	36
22.39	35
43.65	18
53.28	18
78.71	11
58.50	8
25.91	7
83.09	6
71.25	6

Cell and atoms:
abc: 6.877 6.877 6.877
angles: 90.00 90.00 90.00
Space group F-43m (No. 216)
One atom of each set of equivalent atoms:
1 Pr 0.000 0.000 0.000 (multiplicity 4)
2 Ho 0.000 0.000 0.500 (multiplicity 4)
3 Os 0.250 0.250 0.250 (multiplicity 4)

***

Entry 3:
# CeTe4Pb2
Calculated powder diffraction line list, a wavelength of 1.5418 Å. Input: a crystal structure in Alexandria, relaxed with PBE.

Top 10 peaks for 2θ = 10–90°, by intensity:
2θ (°)	I (rel.)
29.38	100
27.45	73
21.28	69
36.86	63
26.55	55
39.67	48
37.78	44
41.14	40
58.47	40
26.78	39

Cell and atoms:
abc: 4.389 15.321 14.940
angles: 90.00 90.00 90.00
Space group Cmcm (No. 63)
One atom of each set of equivalent atoms:
1 Ce 0.000 0.117 0.250 (multiplicity 4)
2 Te 0.000 0.000 0.000 (multiplicity 4)
3 Te 0.000 0.286 0.629 (multiplicity 8)
4 Te 0.000 0.475 0.250 (multiplicity 4)
5 Pb 0.000 0.368 0.067 (multiplicity 8)

***

Entry 4:
# Ce7BCl12
Calculated powder diffraction line list, a wavelength of 1.5418 Å. Input: a crystal structure in Alexandria, relaxed with PBE.

Top 10 peaks for 2θ = 10–90°, by intensity:
2θ (°)	I (rel.)
31.51	100
12.15	64
45.44	35
44.87	33
27.09	26
30.18	21
20.75	19
11.49	18
16.76	16
55.86	16

Cell and atoms:
abc: 14.5660 14.5660 9.7220
angles: 90.00 90.00 120.00
Space group R-3 (No. 148, hexagonal axes)
One atom of each set of equivalent atoms:
1 Ce 0.0000 0.0000 0.0000 (multiplicity 3)
2 Ce 0.0393 0.1637 0.3395 (multiplicity 18)
3 B 0.0000 0.0000 0.5000 (multiplicity 3)
4 Cl 0.0272 0.5832 0.1606 (multiplicity 18)
5 Cl 0.0446 0.1813 0.8398 (multiplicity 18)

***

Entry 5:
# CdPPb
Calculated powder diffraction line list, a wavelength of 1.5418 Å. Input: a crystal structure in Alexandria, relaxed with PBE.

Top 10 peaks for 2θ = 10–90°, by intensity:
2θ (°)	I (rel.)
29.25	100
26.11	60
49.99	40
32.12	39
39.60	35
55.50	30
37.25	26
70.31	25
71.86	19
62.33	17

Cell and atoms:
abc: 6.827 6.827 6.827
angles: 90.00 90.00 90.00
Space group P2_13 (No. 198)
One atom of each set of equivalent atoms:
1 Cd 0.038 0.038 0.038 (multiplicity 4)
2 P 0.147 0.853 0.353 (multiplicity 4)
3 Pb 0.082 0.582 0.918 (multiplicity 4)